TaReW2: simulated PXRD pattern (λ = 1.5418 Å (Cu Kα)), based on the GGA-PBE geometry in Alexandria.
Kinematic intensities with the Lorentz-polarization factor, no thermal factor.

The 7 most intense peaks (2θ = 10–80°), in order of falling intensity:
| 2θ/deg | I_rel | (hkl) |
| --- | --- | --- |
| 39.8 | 100 | 0 4 0 |
| 40.0 | 99 | 2 2 0 |
| 57.8 | 34 | 2 0 1 |
| 72.3 | 23 | 0 6 1 |
| 72.5 | 23 | 2 6 0 |
| 72.9 | 17 | 4 0 0 |
| 72.2 | 6 | 0 0 2 |

Cell and atoms:
```
data_TaReW2
_chemical_formula_sum 'Ta2 Re2 W4'
_cell_length_a 5.5006
_cell_length_b 9.0389
_cell_length_c 2.7750
_cell_angle_alpha 90.00
_cell_angle_beta 109.42
_cell_angle_gamma 90.00
_space_group_name_H-M_alt 'C 1 2/m 1'
_space_group_IT_number 12
loop_
_space_group_symop_operation_xyz
'x,y,z'
'-x,-y,-z'
'-x,y,-z'
'x,-y,z'
'x+1/2,y+1/2,z'
'-x+1/2,-y+1/2,-z'
'-x+1/2,y+1/2,-z'
'x+1/2,-y+1/2,z'
loop_
_atom_site_label
_atom_site_type_symbol
_atom_site_fract_x
_atom_site_fract_y
_atom_site_fract_z
Ta1 Ta 0.0000 0.0000 0.0000
Re1 Re 0.0000 0.5000 0.0000
W1 W 0.2500 0.2500 0.5000
```